Structure and calculated powder diffraction line list of LuThRu2 (DFT lattice parameters and positions (GGA-PBE); CuKα).

Structure:
Unit cell a=6.8987 b=6.8987 c=6.8987 alpha=90.00 beta=90.00 gamma=90.00
Space group Fm-3m (No. 225)
Unique sites:
1 Lu 0.0000 0.0000 0.0000 [4 per cell]
2 Th 0.0000 0.0000 0.5000 [4 per cell]
3 Ru 0.2500 0.2500 0.2500 [8 per cell]

Peak list (8 most intense, 2θ from 10° to 90°, most intense first)
2.439 Å, rel. 100; 1.408 Å, rel. 36; 1.725 Å, rel. 18; 1.091 Å, rel. 17; 3.449 Å, rel. 12; 1.220 Å, rel. 11; 1.543 Å, rel. 5; 1.991 Å, rel. 4